Diffraction record for Na4UMo4O16. The XRD peak list is calculated, not measured: it uses a DFT-relaxed cell (GGA+U, the Materials Project) and Cu Kα, 1.54184 Å.
Kinematic intensities with the Lorentz-polarization factor, no thermal factor.

Atomic structure:
a = 10.0991 Å, b = 10.0991 Å, c = 10.0991 Å
α = 110.90°, β = 110.90°, γ = 106.66°
Fractional coordinates of all 50 atoms:
Na 0.0397 0.1285 0.3573
Na 0.1824 0.5397 0.4111
Na 0.2713 0.6824 0.1427
Na 0.3715 0.2287 0.9111
Na 0.6285 0.7713 0.0889
Na 0.7287 0.3176 0.8573
Na 0.8176 0.4603 0.5889
Na 0.9603 0.8715 0.6427
U 0.3750 0.1250 0.2500
U 0.6250 0.8750 0.7500
Mo 0.0598 0.2199 0.0196
Mo 0.2801 0.7997 0.8399
Mo 0.2997 0.9598 0.5196
Mo 0.4598 0.4402 0.6601
Mo 0.5402 0.5598 0.3399
Mo 0.7003 0.0402 0.4804
Mo 0.7199 0.2003 0.1601
Mo 0.9402 0.7801 0.9804
O 0.0672 0.6971 0.7146
O 0.1044 0.1587 0.8614
O 0.1384 0.1484 0.1615
O 0.1474 0.4328 0.1299
O 0.1582 0.8566 0.0774
O 0.1971 0.9825 0.6299
O 0.2026 0.7570 0.3614
O 0.2570 0.3956 0.5543
O 0.2793 0.0809 0.4226
O 0.3413 0.7026 0.9457
O 0.3516 0.0131 0.9901
O 0.3566 0.7793 0.6984
O 0.4191 0.3418 0.1984
O 0.4769 0.6384 0.4901
O 0.4825 0.3526 0.7854
O 0.4869 0.9769 0.3385
O 0.5131 0.0231 0.6615
O 0.5175 0.6474 0.2146
O 0.5231 0.3616 0.5099
O 0.5809 0.6582 0.8016
O 0.6434 0.2207 0.3016
O 0.6484 0.9869 0.0099
O 0.6587 0.2974 0.0543
O 0.7207 0.9191 0.5774
O 0.7430 0.6044 0.4457
O 0.7974 0.2430 0.6386
O 0.8029 0.0175 0.3701
O 0.8418 0.1434 0.9226
O 0.8526 0.5672 0.8701
O 0.8616 0.8516 0.8385
O 0.8956 0.8413 0.1386
O 0.9328 0.3029 0.2854

Largest 10 diffraction maxima, by intensity, 10° ≤ 2θ ≤ 80°:
Position (°2θ)	I/Imax
10.7	100.0
28.7	95.5
18.8	30.0
24.5	28.7
46.5	25.8
59.0	17.0
29.1	16.3
23.4	15.7
52.0	15.3
35.0	14.8


Diffraction record for Na3CoO3. The XRD peak list is calculated, not measured: it uses a DFT-relaxed cell (GGA+U, the Materials Project) and Cu Kα, 1.54184 Å.
Kinematic intensities with the Lorentz-polarization factor, no thermal factor.

Atomic structure:
a = 9.0620 Å, b = 9.2302 Å, c = 4.5160 Å
α = 90.00°, β = 90.00°, γ = 90.00°
Fractional coordinates of all 28 atoms:
Na 0.1262 0.1300 0.0000
Na 0.1297 0.8734 0.5000
Na 0.1445 0.6451 0.0000
Na 0.3555 0.1451 0.5000
Na 0.3703 0.3734 0.0000
Na 0.3738 0.6300 0.5000
Na 0.6262 0.3700 0.5000
Na 0.6297 0.6266 0.0000
Na 0.6445 0.8549 0.5000
Na 0.8555 0.3549 0.0000
Na 0.8703 0.1266 0.5000
Na 0.8738 0.8700 0.0000
Co 0.1135 0.3860 0.5000
Co 0.3865 0.8860 0.0000
Co 0.6135 0.1140 0.0000
Co 0.8865 0.6140 0.5000
O 0.0919 0.5972 0.5000
O 0.1057 0.1884 0.5000
O 0.1909 0.8944 0.0000
O 0.3091 0.3944 0.5000
O 0.3943 0.6884 0.0000
O 0.4081 0.0972 0.0000
O 0.5919 0.9028 0.0000
O 0.6057 0.3116 0.0000
O 0.6909 0.6056 0.5000
O 0.8091 0.1056 0.0000
O 0.8943 0.8116 0.5000
O 0.9081 0.4028 0.5000

Largest 10 diffraction maxima, by intensity, 10° ≤ 2θ ≤ 80°:
Position (°2θ)	I/Imax
34.1	100.0
39.9	58.2
21.9	57.2
22.0	50.0
39.0	44.9
39.8	41.1
13.7	27.1
24.0	26.8
57.1	25.9
57.6	24.5


Diffraction record for Li9Mn2Co5O16. The XRD peak list is calculated, not measured: it uses a DFT-relaxed cell (GGA+U, the Materials Project) and Cu Kα, 1.54184 Å.
Kinematic intensities with the Lorentz-polarization factor, no thermal factor.

Atomic structure:
a = 4.9735 Å, b = 6.6829 Å, c = 8.8291 Å
α = 98.87°, β = 95.31°, γ = 98.56°
Fractional coordinates of all 32 atoms:
Li 0.0000 0.0000 0.0000
Li 0.0003 0.2372 0.7384
Li 0.0069 0.7436 0.2512
Li 0.4994 0.3620 0.6119
Li 0.5030 0.1212 0.8716
Li 0.5110 0.6123 0.3683
Li 0.5171 0.8737 0.1293
Li 0.7529 0.3044 0.1856
Li 0.9944 0.4856 0.4840
Mn 0.2569 0.4261 0.0597
Mn 0.7585 0.5480 0.9325
Co 0.2529 0.1871 0.3019
Co 0.2563 0.6784 0.8065
Co 0.2566 0.9352 0.5585
Co 0.7510 0.0604 0.4268
Co 0.7580 0.8035 0.6832
O 0.1085 0.9463 0.7698
O 0.1137 0.2005 0.5201
O 0.1302 0.6875 0.0121
O 0.1438 0.4613 0.2607
O 0.3606 0.1719 0.0835
O 0.3910 0.9088 0.3446
O 0.3921 0.6631 0.6077
O 0.3989 0.4055 0.8545
O 0.6087 0.0773 0.6465
O 0.6115 0.3242 0.3973
O 0.6203 0.5813 0.1301
O 0.6310 0.8068 0.8892
O 0.8870 0.7829 0.4792
O 0.8917 0.3018 0.9640
O 0.8962 0.5307 0.7298
O 0.8975 0.0279 0.2208

Largest 10 diffraction maxima, by intensity, 10° ≤ 2θ ≤ 80°:
Position (°2θ)	I/Imax
18.4	100.0
42.8	30.2
43.7	27.8
44.6	25.8
35.4	15.5
36.0	13.7
36.8	11.6
47.7	9.5
62.6	7.8
62.9	7.6


Diffraction record for Li7Co5O12. The XRD peak list is calculated, not measured: it uses a DFT-relaxed cell (GGA+U, the Materials Project) and Cu Kα, 1.54184 Å.
Kinematic intensities with the Lorentz-polarization factor, no thermal factor.

Atomic structure:
a = 4.9659 Å, b = 6.4544 Å, c = 6.4824 Å
α = 83.13°, β = 82.69°, γ = 83.33°
Fractional coordinates of all 24 atoms:
Li 0.0000 0.0000 0.0000
Li 0.0016 0.3267 0.6494
Li 0.2388 0.2444 0.2438
Li 0.4815 0.8361 0.1620
Li 0.4950 0.4857 0.4863
Li 0.5048 0.1596 0.8243
Li 0.9825 0.6606 0.3268
Co 0.2448 0.5748 0.9113
Co 0.2487 0.9275 0.5618
Co 0.7398 0.4082 0.0773
Co 0.7447 0.7427 0.7426
Co 0.7458 0.0784 0.4056
O 0.1004 0.9545 0.2946
O 0.1015 0.3167 0.9547
O 0.1129 0.6314 0.6437
O 0.3801 0.8416 0.8594
O 0.3823 0.1892 0.5332
O 0.3903 0.5319 0.1704
O 0.6082 0.4684 0.8026
O 0.6252 0.7952 0.4664
O 0.6389 0.1400 0.1254
O 0.8523 0.3600 0.3509
O 0.8626 0.0213 0.6858
O 0.8766 0.6811 0.0163

Largest 10 diffraction maxima, by intensity, 10° ≤ 2θ ≤ 80°:
Position (°2θ)	I/Imax
18.6	100.0
44.2	26.5
44.4	25.8
44.7	24.8
36.7	24.6
64.0	13.5
37.0	11.6
13.9	10.2
48.5	7.6
64.8	6.9


Diffraction record for BaMgVO3. The XRD peak list is calculated, not measured: it uses a DFT-relaxed cell (GGA+U, the Materials Project) and Cu Kα, 1.54184 Å.
Kinematic intensities with the Lorentz-polarization factor, no thermal factor.

Atomic structure:
a = 4.0193 Å, b = 4.0193 Å, c = 5.6675 Å
α = 105.58°, β = 105.58°, γ = 89.70°
Fractional coordinates of all 6 atoms:
Ba 0.0000 0.0000 0.0000
Mg 0.3115 0.3115 0.6071
V 0.7053 0.7053 0.3745
O 0.2423 0.7610 0.4904
O 0.4624 0.4624 0.9828
O 0.7610 0.2423 0.4904

Largest 10 diffraction maxima, by intensity, 10° ≤ 2θ ≤ 80°:
Position (°2θ)	I/Imax
32.4	100.0
35.7	81.3
45.3	73.5
23.0	64.1
31.6	59.6
31.7	57.4
34.2	47.3
24.5	41.7
36.0	36.3
16.9	25.4


Copy entry 4 word for word.
Diffraction record for Li7Co5O12. The XRD peak list is calculated, not measured: it uses a DFT-relaxed cell (GGA+U, the Materials Project) and Cu Kα, 1.54184 Å.
Kinematic intensities with the Lorentz-polarization factor, no thermal factor.

Atomic structure:
a = 4.9659 Å, b = 6.4544 Å, c = 6.4824 Å
α = 83.13°, β = 82.69°, γ = 83.33°
Fractional coordinates of all 24 atoms:
Li 0.0000 0.0000 0.0000
Li 0.0016 0.3267 0.6494
Li 0.2388 0.2444 0.2438
Li 0.4815 0.8361 0.1620
Li 0.4950 0.4857 0.4863
Li 0.5048 0.1596 0.8243
Li 0.9825 0.6606 0.3268
Co 0.2448 0.5748 0.9113
Co 0.2487 0.9275 0.5618
Co 0.7398 0.4082 0.0773
Co 0.7447 0.7427 0.7426
Co 0.7458 0.0784 0.4056
O 0.1004 0.9545 0.2946
O 0.1015 0.3167 0.9547
O 0.1129 0.6314 0.6437
O 0.3801 0.8416 0.8594
O 0.3823 0.1892 0.5332
O 0.3903 0.5319 0.1704
O 0.6082 0.4684 0.8026
O 0.6252 0.7952 0.4664
O 0.6389 0.1400 0.1254
O 0.8523 0.3600 0.3509
O 0.8626 0.0213 0.6858
O 0.8766 0.6811 0.0163

Largest 10 diffraction maxima, by intensity, 10° ≤ 2θ ≤ 80°:
Position (°2θ)	I/Imax
18.6	100.0
44.2	26.5
44.4	25.8
44.7	24.8
36.7	24.6
64.0	13.5
37.0	11.6
13.9	10.2
48.5	7.6
64.8	6.9